1.
Diffraction record for Li3As2Pb. The powder XRD pattern is computed, not measured: it uses DFT lattice parameters and positions (PBE) and Cu Ka.
Intensities are scaled so that the largest is 100.

Principal peaks in the range 10 to 90 degrees two-theta, low angle first:
two_theta	I_rel
11.12	100
16.61	31
21.51	36
25.58	53
27.27	91
33.03	25
33.66	56
34.95	86
42.40	40
44.10	28
51.42	25
63.94	26

Lattice parameters (Å, degrees): 4.131 7.959 7.191 90.00 90.00 90.00
Sites, in units of the cell vectors:
Li: 0.000 0.064 0.000
Li: 0.000 0.307 0.396
Li: 0.000 0.693 0.896
Li: 0.000 0.936 0.500
Li: 0.500 0.177 0.653
Li: 0.500 0.823 0.153
As: 0.000 0.367 0.773
As: 0.000 0.633 0.273
As: 0.500 0.117 0.295
As: 0.500 0.883 0.795
Pb: 0.500 0.409 0.070
Pb: 0.500 0.591 0.570

2.
Diffraction record for Tm4SbTe2. The powder XRD pattern is computed, not measured: it uses DFT lattice parameters and positions (PBE) and Cu Ka.
Intensities are scaled so that the largest is 100.

Principal peaks in the range 10 to 90 degrees two-theta, low angle first:
two_theta	I_rel
27.71	86
29.44	88
30.08	100
31.93	32
33.36	40
38.30	82
42.04	28
44.06	39
44.23	24
47.33	33
52.85	33
62.53	17

Lattice parameters (Å, degrees): 7.050 7.050 14.655 90.00 90.00 146.10
Sites, in units of the cell vectors:
Tm: 0.000 0.000 0.000
Tm: 0.000 0.000 0.500
Tm: 0.293 0.707 0.635
Tm: 0.293 0.707 0.865
Tm: 0.417 0.583 0.250
Tm: 0.583 0.417 0.750
Tm: 0.707 0.293 0.135
Tm: 0.707 0.293 0.365
Sb: 0.083 0.917 0.250
Sb: 0.917 0.083 0.750
Te: 0.353 0.647 0.060
Te: 0.353 0.647 0.440
Te: 0.647 0.353 0.560
Te: 0.647 0.353 0.940

3.
Diffraction record for Li2Zn3Cu4. The powder XRD pattern is computed, not measured: it uses DFT lattice parameters and positions (PBE) and Cu Ka.
Intensities are scaled so that the largest is 100.

Principal peaks in the range 10 to 90 degrees two-theta, low angle first:
two_theta	I_rel
13.72	26
23.16	35
39.27	23
39.72	29
40.45	44
42.00	100
42.71	79
44.13	67
44.84	51
45.50	61
46.10	47
47.02	59

Lattice parameters (Å, degrees): 4.505 4.586 6.603 78.07 82.02 60.79
Sites, in units of the cell vectors:
Li: 0.150 0.393 0.330
Li: 0.850 0.607 0.670
Zn: 0.182 0.937 0.667
Zn: 0.500 0.500 0.000
Zn: 0.818 0.063 0.333
Cu: 0.175 0.159 0.995
Cu: 0.480 0.725 0.334
Cu: 0.520 0.275 0.666
Cu: 0.825 0.841 0.005

4.
Diffraction record for TlSiBr. The powder XRD pattern is computed, not measured: it uses DFT lattice parameters and positions (PBE) and Cu Ka.
Intensities are scaled so that the largest is 100.

Principal peaks in the range 10 to 90 degrees two-theta, low angle first:
two_theta	I_rel
10.37	74
20.57	77
22.34	45
25.13	52
27.72	100
29.62	51
30.62	30
31.46	46
31.98	34
34.29	55
38.93	39
46.73	31

Lattice parameters (Å, degrees): 12.106 3.886 9.310 90.00 113.60 90.00
Sites, in units of the cell vectors:
Tl: 0.000 0.000 0.000
Tl: 0.131 0.500 0.637
Tl: 0.500 0.500 0.000
Tl: 0.631 0.000 0.637
Si: 0.198 0.000 0.941
Si: 0.303 0.500 0.069
Si: 0.698 0.500 0.941
Si: 0.803 0.000 0.069
Br: 0.376 0.500 0.340
Br: 0.392 0.000 0.729
Br: 0.876 0.000 0.340
Br: 0.892 0.500 0.729

5.
Diffraction record for K2Si3BiAu12. The powder XRD pattern is computed, not measured: it uses DFT lattice parameters and positions (PBE) and Cu Ka.
Intensities are scaled so that the largest is 100.

Principal peaks in the range 10 to 90 degrees two-theta, low angle first:
two_theta	I_rel
12.05	62
20.77	69
24.60	24
28.66	100
31.31	40
34.92	24
36.71	26
39.65	40
41.59	26
41.91	21
42.26	63
43.55	41

Lattice parameters (Å, degrees): 8.584 8.584 8.584 63.96 63.96 63.96
Sites, in units of the cell vectors:
K: 0.100 0.100 0.100
K: 0.900 0.900 0.900
Si: 0.000 0.500 0.500
Si: 0.500 0.000 0.500
Si: 0.500 0.500 0.000
Bi: 0.500 0.500 0.500
Au: 0.122 0.623 0.623
Au: 0.177 0.177 0.519
Au: 0.177 0.519 0.177
Au: 0.377 0.377 0.878
Au: 0.377 0.878 0.377
Au: 0.481 0.823 0.823
Au: 0.519 0.177 0.177
Au: 0.623 0.122 0.623
Au: 0.623 0.623 0.122
Au: 0.823 0.481 0.823
Au: 0.823 0.823 0.481
Au: 0.878 0.377 0.377

6.
Diffraction record for Nd3Sm4Pd4. The powder XRD pattern is computed, not measured: it uses DFT lattice parameters and positions (PBE) and Cu Ka.
Intensities are scaled so that the largest is 100.

Principal peaks in the range 10 to 90 degrees two-theta, low angle first:
two_theta	I_rel
30.20	100
30.53	27
31.38	44
33.77	13
33.96	15
34.27	27
36.97	43
41.36	18
41.50	30
48.68	15
56.79	12
62.48	12

Lattice parameters (Å, degrees): 9.131 9.131 9.131 149.11 130.29 59.68
Sites, in units of the cell vectors:
Nd: 0.000 0.000 0.000
Nd: 0.399 0.899 0.500
Nd: 0.601 0.101 0.500
Sm: 0.049 0.329 0.719
Sm: 0.390 0.671 0.719
Sm: 0.610 0.329 0.281
Sm: 0.951 0.671 0.281
Pd: 0.203 0.203 0.000
Pd: 0.317 0.500 0.817
Pd: 0.683 0.500 0.183
Pd: 0.797 0.797 0.000